1.
The following is a simulated PXRD pattern of MgTlV4FeS8. It was derived from a PBE-relaxed structure, using Cu Kα, 1.54184 Å.
Lines closer than 0.1° are merged.

Atomic structure:
Cell: 8.955 8.955 8.824 Å, 103.63 103.63 22.41°
Fractional coordinates of all 15 atoms:
Mg (0.000, 0.000, 0.000)
Tl (0.168, 0.168, 0.212)
V (0.273, 0.273, 0.665)
V (0.331, 0.331, 0.006)
V (0.932, 0.932, 0.355)
V (0.963, 0.963, 0.657)
Fe (0.643, 0.643, 0.678)
S (0.065, 0.065, 0.536)
S (0.197, 0.197, 0.838)
S (0.386, 0.386, 0.506)
S (0.468, 0.468, 0.181)
S (0.542, 0.542, 0.825)
S (0.714, 0.714, 0.502)
S (0.803, 0.803, 0.172)
S (0.863, 0.863, 0.823)

Main lines, sorted by position (15 to 90 degrees two-theta):
2θ/deg, I (rel.)
20.78, 100.0
20.89, 83.9
25.44, 53.5
28.64, 48.4
30.59, 56.0
33.16, 83.4
33.37, 46.8
34.54, 74.2
41.03, 85.0
46.84, 43.5

***

2.
The following is a simulated PXRD pattern of K3Ce. It was derived from a PBE-relaxed structure, using Cu Kα, 1.54184 Å.
Lines closer than 0.1° are merged.

Atomic structure:
Cell: 10.518 10.518 8.174 Å, 90.00 90.00 120.00°
Fractional coordinates of all 8 atoms:
K (0.170, 0.340, 0.250)
K (0.170, 0.830, 0.250)
K (0.340, 0.170, 0.750)
K (0.660, 0.830, 0.250)
K (0.830, 0.170, 0.750)
K (0.830, 0.660, 0.750)
Ce (0.333, 0.667, 0.750)
Ce (0.667, 0.333, 0.250)

Main lines, sorted by position (15 to 90 degrees two-theta):
2θ/deg, I (rel.)
16.86, 16.8
19.49, 23.3
21.74, 23.8
22.35, 100.0
28.12, 16.3
29.37, 20.9
34.09, 24.1
38.50, 22.9
40.81, 25.7
41.15, 18.7

***

3.
The following is a simulated PXRD pattern of Nd5Si3B. It was derived from a PBE-relaxed structure, using Cu Kα, 1.54184 Å.
Lines closer than 0.1° are merged.

Atomic structure:
Cell: 8.904 8.904 6.672 Å, 90.00 90.00 120.00°
Fractional coordinates of all 18 atoms:
Nd (0.000, 0.239, 0.250)
Nd (0.000, 0.761, 0.750)
Nd (0.239, 0.000, 0.250)
Nd (0.239, 0.239, 0.750)
Nd (0.333, 0.667, 0.000)
Nd (0.333, 0.667, 0.500)
Nd (0.667, 0.333, 0.000)
Nd (0.667, 0.333, 0.500)
Nd (0.761, 0.000, 0.750)
Nd (0.761, 0.761, 0.250)
Si (0.000, 0.402, 0.750)
Si (0.000, 0.598, 0.250)
Si (0.402, 0.000, 0.750)
Si (0.402, 0.402, 0.250)
Si (0.598, 0.000, 0.250)
Si (0.598, 0.598, 0.750)
B (0.000, 0.000, 0.000)
B (0.000, 0.000, 0.500)

Main lines, sorted by position (15 to 90 degrees two-theta):
2θ/deg, I (rel.)
23.07, 15.0
24.03, 22.3
29.17, 25.7
30.68, 26.4
33.56, 100.0
34.91, 18.5
49.21, 15.2
51.70, 18.6
54.54, 12.7
55.03, 22.3